[1]
This entry pairs a crystal structure of PmOsI with its simulated powder X-ray diffraction pattern. Radiation: Cu Kα (λ = 1.5418 Å). Structure: a cell relaxed with GGA-PBE.

Most intense lines, 10° ≤ 2θ ≤ 90°, in order of rising 2θ:
d_spacing	2θ/deg	Rel. int.	index
4.115	21.6	27	0 0 3
3.186	28.0	28	2 0 -2
3.157	28.3	72	1 1 2
2.776	32.2	100	2 0 -3
2.733	32.8	64	1 1 3
2.688	33.3	35	2 0 3
2.392	37.6	21	1 1 -4
2.153	42.0	39	0 2 0
2.119	42.7	84	3 1 0
2.057	44.0	32	0 0 6
1.497	62.0	22	3 1 -6
1.487	62.4	23	0 2 6

```
data_PmOsI
_cell_length_a 7.3018
_cell_length_b 4.3061
_cell_length_c 12.3509
_cell_angle_alpha 90.00
_cell_angle_beta 91.82
_cell_angle_gamma 90.00
_space_group_name_H-M_alt 'C 1 2/m 1'
_space_group_IT_number 12
loop_
_space_group_symop_operation_xyz
'x,y,z'
'-x,-y,-z'
'-x,y,-z'
'x,-y,z'
'x+1/2,y+1/2,z'
'-x+1/2,-y+1/2,-z'
'-x+1/2,y+1/2,-z'
'x+1/2,-y+1/2,z'
loop_
_atom_site_label
_atom_site_type_symbol
_atom_site_fract_x
_atom_site_fract_y
_atom_site_fract_z
_atom_site_occupancy
Pm1 Pm 0.0098 0.0000 0.1654 1
Os1 Os 0.1727 0.5000 0.9921 1
I1 I 0.1799 0.5000 0.3389 1
```

[2]
This entry pairs a crystal structure of Pr6OsI10 with its simulated powder X-ray diffraction pattern. Radiation: Cu Kα (λ = 1.5418 Å). Structure: a cell relaxed with GGA-PBE.

Most intense lines, 10° ≤ 2θ ≤ 90°, in order of rising 2θ:
d_spacing	2θ/deg	Rel. int.	index
8.117	10.9	21	0 1 -1
3.729	23.9	23	1 -2 2
3.313	26.9	100	2 0 1
3.236	27.6	99	1 1 -3
3.161	28.2	89	1 -3 0
2.321	38.8	34	3 1 -2
2.309	39.0	37	1 -1 4
2.301	39.1	31	3 -3 1
2.275	39.6	35	-2 2 3
2.273	39.7	33	1 3 1
2.248	40.1	33	0 4 -3
1.864	48.9	35	0 2 4

```
data_Pr6OsI10
_cell_length_a 8.0856
_cell_length_b 9.9850
_cell_length_c 10.2422
_cell_angle_alpha 107.47
_cell_angle_beta 96.93
_cell_angle_gamma 104.64
_space_group_name_H-M_alt 'P -1'
_space_group_IT_number 2
loop_
_space_group_symop_operation_xyz
'x,y,z'
'-x,-y,-z'
loop_
_atom_site_label
_atom_site_type_symbol
_atom_site_fract_x
_atom_site_fract_y
_atom_site_fract_z
_atom_site_occupancy
Pr1 Pr 0.0353 0.2284 0.4210 1
Pr2 Pr 0.1218 0.5464 0.2546 1
Pr3 Pr 0.3575 0.6319 0.6728 1
Os1 Os 0.0000 0.5000 0.5000 1
I1 I 0.0871 0.8702 0.3237 1
I2 I 0.2137 0.2425 0.1546 1
I3 I 0.2561 0.5848 0.9553 1
I4 I 0.3429 0.9529 0.7718 1
I5 I 0.4522 0.3153 0.5873 1
```

[3]
This entry pairs a crystal structure of Pr8OsRh3I4 with its simulated powder X-ray diffraction pattern. Radiation: Cu Kα (λ = 1.5418 Å). Structure: a cell relaxed with GGA-PBE.

Most intense lines, 10° ≤ 2θ ≤ 90°, in order of rising 2θ:
d_spacing	2θ/deg	Rel. int.	index
8.223	10.8	16	0 0 1
3.137	28.5	100	4 0 0
2.929	30.5	7	2 2 1
2.741	32.7	7	0 0 3
2.533	35.4	12	4 0 1
2.354	38.2	28	2 2 2
2.104	43.0	38	0 4 0
1.910	47.6	8	2 2 3
1.747	52.4	18	4 4 0
1.669	55.0	9	6 2 1
1.568	58.9	8	8 0 0
1.344	70.0	10	10 2 -2

```
data_Pr8OsRh3I4
_cell_length_a 14.5859
_cell_length_b 8.4071
_cell_length_c 9.5582
_cell_angle_alpha 90.00
_cell_angle_beta 120.65
_cell_angle_gamma 90.00
_space_group_name_H-M_alt 'C 1 2/m 1'
_space_group_IT_number 12
loop_
_space_group_symop_operation_xyz
'x,y,z'
'-x,-y,-z'
'-x,y,-z'
'x,-y,z'
'x+1/2,y+1/2,z'
'-x+1/2,-y+1/2,-z'
'-x+1/2,y+1/2,-z'
'x+1/2,-y+1/2,z'
loop_
_atom_site_label
_atom_site_type_symbol
_atom_site_fract_x
_atom_site_fract_y
_atom_site_fract_z
_atom_site_occupancy
Pr1 Pr 0.0197 0.2461 0.3131 1
Pr2 Pr 0.2263 0.0000 0.6868 1
Pr3 Pr 0.2280 0.5000 0.6840 1
Os1 Os 0.0000 0.0000 0.5000 1
Rh1 Rh 0.0000 0.5000 0.5000 1
Rh2 Rh 0.2500 0.2500 0.5000 1
I1 I 0.0000 0.0000 0.0000 1
I2 I 0.0000 0.5000 0.0000 1
I3 I 0.2500 0.2500 0.0000 1
```